The following is a theoretical PXRD pattern of Cs2CeFe2O6. It was derived from a crystal structure in Alexandria, relaxed with PBE+U, using a wavelength of 1.5418 Å.

Most intense lines, 10 to 90 degrees two-theta, in order of rising 2θ:
- 25.57 deg, intensity 35, (1 0 4)
- 28.39 deg, intensity 100, (1 1 0)
- 29.60 deg, intensity 82, (0 1 5)
- 38.58 deg, intensity 27, (0 2 4)
- 41.48 deg, intensity 27, (2 0 5)
- 50.27 deg, intensity 20, (3 0 0)
- 51.03 deg, intensity 32, (1 2 5)
- 54.07 deg, intensity 28, (1 1 9)
- 58.75 deg, intensity 19, (2 2 0)
- 67.15 deg, intensity 16, (3 1 5)

Cell and atoms:
Cell: 6.2870 6.2870 18.1314 Å, 90.00 90.00 120.00°
Space group R-3m (No. 166, hexagonal axes)
One atom of each set of equivalent atoms:
Cs: 0.0000 0.0000 0.2205 x6
Ce: 0.0000 0.0000 0.0000 x3
Fe: 0.0000 0.0000 0.4222 x6
O: 0.0017 0.5008 0.2591 x18